Structure and calculated powder diffractogram of BIrPd (a crystal structure in the Materials Project, relaxed with GGA-PBE; Cu Kα, 1.54184 Å).
Lines closer than 0.1° are merged.

The 8 most intense peaks (2θ = 15–90°), in order of rising 2θ:
- 2θ = 18.73°, I 26.7
- 2θ = 33.55°, I 100.0
- 2θ = 34.34°, I 55.8
- 2θ = 35.01°, I 83.7
- 2θ = 37.99°, I 42.1
- 2θ = 42.68°, I 91.0
- 2θ = 49.28°, I 73.2
- 2θ = 49.87°, I 32.0

Cell and atoms:
```
BIrPd
1.0
0.0000 5.1253 3.3490
4.4269 0.0000 3.3490
4.4269 5.1253 0.0000
B Ir Pd
4 4 4
Cartesian
4.9521 2.4062 3.3490
6.1151 4.9689 5.0235
3.9017 7.8445 3.3490
2.7386 5.2818 5.0235
6.5183 3.9195 3.2172
4.3049 3.7685 4.8917
2.3354 6.3311 3.2172
4.5488 6.4822 4.8917
3.6607 3.9416 2.1364
5.1931 6.3091 2.1364
7.4065 6.5043 3.8109
5.8741 8.8718 3.8109
```


Structure and calculated powder diffractogram of SrIrO3 (a crystal structure in the Materials Project, relaxed with GGA-PBE; Cu Kα, 1.54184 Å).
Lines closer than 0.1° are merged.

The 8 most intense peaks (2θ = 15–90°), in order of rising 2θ:
- 2θ = 22.24°, I 24.6
- 2θ = 31.65°, I 100.0
- 2θ = 45.37°, I 28.6
- 2θ = 51.08°, I 10.6
- 2θ = 56.37°, I 40.3
- 2θ = 66.10°, I 17.8
- 2θ = 75.14°, I 17.6
- 2θ = 83.82°, I 6.1

Cell and atoms:
```
SrIrO3
1.0
3.9980 0.0000 0.0000
0.0000 3.9980 0.0000
0.0000 0.0000 3.9980
Sr Ir O
1 1 3
Cartesian
0.0000 0.0000 0.0000
1.9990 1.9990 1.9990
0.0000 1.9990 1.9990
1.9990 0.0000 1.9990
1.9990 1.9990 0.0000
```


Structure and calculated powder diffractogram of Ta3AlCo8 (a crystal structure in the Materials Project, relaxed with GGA-PBE; Cu Kα, 1.54184 Å).
Lines closer than 0.1° are merged.

The 8 most intense peaks (2θ = 15–90°), in order of rising 2θ:
- 2θ = 22.95°, I 19.1
- 2θ = 37.92°, I 80.9
- 2θ = 44.76°, I 100.0
- 2θ = 44.86°, I 36.0
- 2θ = 46.85°, I 19.2
- 2θ = 68.44°, I 21.7
- 2θ = 73.25°, I 30.8
- 2θ = 80.93°, I 14.9

Cell and atoms:
```
Ta3AlCo8
1.0
2.3758 1.3717 7.7305
-2.3758 1.3717 7.7305
0.0000 -2.7433 7.7305
Ta Al Co
3 1 8
Cartesian
0.0000 0.0000 0.0000
0.0000 0.0000 2.8977
0.0000 0.0000 11.7014
0.0000 0.0000 14.5522
-1.1963 -0.6907 9.2282
0.0000 -1.3627 5.3509
-1.1801 0.6814 5.3509
0.0000 0.0000 7.2652
1.1801 0.6814 5.3509
1.1963 -0.6907 9.2282
0.0000 1.3814 9.2282
0.0000 0.0000 18.8796
```


Structure and calculated powder diffractogram of LiRh3 (a crystal structure in the Materials Project, relaxed with GGA-PBE; Cu Kα, 1.54184 Å).
Lines closer than 0.1° are merged.

The 8 most intense peaks (2θ = 15–90°), in order of rising 2θ:
- 2θ = 23.17°, I 11.3
- 2θ = 26.29°, I 32.9
- 2θ = 41.17°, I 100.0
- 2θ = 47.36°, I 16.6
- 2θ = 48.18°, I 31.5
- 2θ = 69.87°, I 20.2
- 2θ = 83.82°, I 12.3
- 2θ = 85.05°, I 23.8

Cell and atoms:
```
LiRh3
1.0
-1.8887 1.8887 3.8392
1.8887 -1.8887 3.8392
1.8887 1.8887 -3.8392
Li Rh
1 3
Cartesian
0.0000 0.0000 0.0000
1.8887 0.0000 1.9196
0.0000 0.0000 3.8392
0.0000 1.8887 1.9196
```